For Nd3CBr2, a GGA-PBE-relaxed structure gives the theoretical powder diffractogram in this record (Cu Ka).

Largest 8 diffraction maxima, low angle first, 10 to 80 degrees two-theta:
(hkl), 2θ (°), I/Imax
1 3 -1, 27.13, 25
2 2 -1, 27.97, 17
2 0 -2, 30.65, 43
1 3 1, 30.97, 100
3 1 0, 37.12, 21
2 4 -1, 38.46, 19
3 3 -1, 41.42, 21
1 3 -3, 46.72, 33

Crystal structure
Unit cell a=7.8379 b=11.9354 c=6.6909 alpha=90.00 beta=108.77 gamma=90.00
Space group C2/c (No. 15)
Symmetry-distinct sites (fractional):
Nd: 0.1799 0.0724 0.4966 (multiplicity 8)
Nd: 0.2500 0.2500 0.0000 (multiplicity 4)
C: 0.0000 0.0873 0.7500 (multiplicity 4)
Br: 0.0000 0.2735 0.2500 (multiplicity 4)
Br: 0.0000 0.4303 0.7500 (multiplicity 4)

For Nd4CBr3, a GGA-PBE-relaxed structure gives the theoretical powder diffractogram in this record (Cu Ka).

Largest 8 diffraction maxima, low angle first, 10 to 80 degrees two-theta:
(hkl), 2θ (°), I/Imax
0 2 1, 20.15, 29
0 0 2, 21.55, 33
1 2 1, 25.59, 35
0 3 1, 27.85, 30
2 0 0, 31.52, 60
1 2 2, 31.84, 100
0 4 0, 34.40, 30
1 0 3, 36.31, 33

Crystal structure
Unit cell a=5.6776 b=10.4288 c=8.2456 alpha=90.00 beta=90.00 gamma=90.00
Space group Pmmn (No. 59, origin choice 2)
Symmetry-distinct sites (fractional):
Nd: 0.2500 0.0410 0.2129 (multiplicity 4)
Nd: 0.2500 0.2500 0.8392 (multiplicity 2)
Nd: 0.2500 0.7500 0.8943 (multiplicity 2)
C: 0.2500 0.2500 0.1210 (multiplicity 2)
Br: 0.2500 0.5227 0.6347 (multiplicity 4)
Br: 0.2500 0.7500 0.2697 (multiplicity 2)

For Nd9C2Br14, a GGA-PBE-relaxed structure gives the theoretical powder diffractogram in this record (Cu Ka).

Largest 8 diffraction maxima, low angle first, 10 to 80 degrees two-theta:
(hkl), 2θ (°), I/Imax
0 1 1, 14.01, 35
2 -1 1, 21.83, 100
0 0 3, 22.93, 46
1 2 0, 31.45, 56
3 -1 1, 32.40, 71
3 0 0, 35.79, 58
2 -1 4, 37.19, 75
1 2 3, 39.27, 67

Crystal structure
Unit cell a=8.6911 b=8.6911 c=11.6376 alpha=90.00 beta=90.00 gamma=120.00
Space group P-3 (No. 147)
Symmetry-distinct sites (fractional):
Nd: 0.0000 0.0000 0.0000 (multiplicity 1)
Nd: 0.1047 0.3888 0.3311 (multiplicity 6)
Nd: 0.3333 0.6667 0.0684 (multiplicity 2)
C: 0.3333 0.6667 0.2806 (multiplicity 2)
Br: 0.0000 0.0000 0.2669 (multiplicity 2)
Br: 0.0488 0.6780 0.9065 (multiplicity 6)
Br: 0.0873 0.4036 0.5991 (multiplicity 6)

For Nd2CBr3, a GGA-PBE-relaxed structure gives the theoretical powder diffractogram in this record (Cu Ka).

Largest 8 diffraction maxima, low angle first, 10 to 80 degrees two-theta:
(hkl), 2θ (°), I/Imax
2 0 -2, 16.98, 21
4 0 0, 20.39, 16
1 1 2, 29.36, 100
6 0 -2, 30.47, 32
2 0 4, 38.75, 18
7 1 0, 42.72, 25
5 1 -4, 42.91, 23
0 2 0, 45.04, 14

Crystal structure
Unit cell a=18.2377 b=4.0254 c=10.9590 alpha=90.00 beta=107.23 gamma=90.00
Space group C2/m (No. 12)
Symmetry-distinct sites (fractional):
Nd: 0.0681 0.0000 0.2076 (multiplicity 4)
Nd: 0.1196 0.5000 0.9368 (multiplicity 4)
C: 0.0221 0.5000 0.0605 (multiplicity 4)
Br: 0.0776 0.0000 0.7229 (multiplicity 4)
Br: 0.1379 0.5000 0.4003 (multiplicity 4)
Br: 0.2171 0.0000 0.1288 (multiplicity 4)

For Nd6C2Br3O, a GGA-PBE-relaxed structure gives the theoretical powder diffractogram in this record (Cu Ka).

Largest 8 diffraction maxima, low angle first, 10 to 80 degrees two-theta:
(hkl), 2θ (°), I/Imax
2 0 0, 28.42, 38
1 3 1, 31.74, 100
2 0 1, 34.04, 49
0 0 3, 36.49, 24
2 0 2, 42.76, 17
0 6 0, 48.12, 40
4 0 0, 58.80, 17
3 3 2, 61.87, 31

Crystal structure
Unit cell a=6.5499 b=11.3461 c=7.7030 alpha=90.00 beta=106.49 gamma=90.00
Space group C2/m (No. 12)
Symmetry-distinct sites (fractional):
Nd: 0.2264 0.0000 0.1816 (multiplicity 4)
Nd: 0.2273 0.3330 0.1810 (multiplicity 8)
C: 0.0000 0.1663 0.0000 (multiplicity 4)
Br: 0.0000 0.0000 0.5000 (multiplicity 2)
Br: 0.0000 0.3304 0.5000 (multiplicity 4)
O: 0.0000 0.5000 0.0000 (multiplicity 2)

For Nd8Os3CBr3, a GGA-PBE-relaxed structure gives the theoretical powder diffractogram in this record (Cu Ka).

Largest 8 diffraction maxima, low angle first, 10 to 80 degrees two-theta:
(hkl), 2θ (°), I/Imax
0 0 3, 11.39, 54
0 2 4, 29.50, 100
0 2 7, 37.04, 25
2 0 8, 40.06, 26
2 2 0, 44.27, 38
2 0 11, 50.15, 15
4 0 4, 54.10, 18
2 4 4, 72.39, 14

Crystal structure
Unit cell a=8.1843 b=8.1843 c=23.3126 alpha=90.00 beta=90.00 gamma=120.00
Space group R-3m (No. 166, hexagonal axes)
Symmetry-distinct sites (fractional):
Nd: 0.0000 0.0000 0.2349 (multiplicity 6)
Nd: 0.0183 0.5092 0.2272 (multiplicity 18)
Os: 0.0000 0.5000 0.5000 (multiplicity 9)
C: 0.0000 0.0000 0.5000 (multiplicity 3)
Br: 0.0000 0.5000 0.0000 (multiplicity 9)

For Pb2CBr2O3, a GGA-PBE-relaxed structure gives the theoretical powder diffractogram in this record (Cu Ka).

Largest 8 diffraction maxima, low angle first, 10 to 80 degrees two-theta:
(hkl), 2θ (°), I/Imax
0 0 2, 19.22, 38
2 1 0, 23.45, 32
2 1 2, 30.49, 100
3 1 0, 33.40, 37
3 1 2, 38.82, 21
2 1 4, 46.01, 17
4 1 2, 48.44, 22
3 1 4, 52.27, 17

Crystal structure
Unit cell a=8.4827 b=8.4827 c=9.2379 alpha=90.00 beta=90.00 gamma=90.00
Space group P4/mbm (No. 127)
Symmetry-distinct sites (fractional):
Pb: 0.1646 0.3354 0.2493 (multiplicity 8)
C: 0.1756 0.6756 0.5000 (multiplicity 4)
Br: 0.0000 0.0000 0.2591 (multiplicity 4)
Br: 0.1501 0.6501 0.0000 (multiplicity 4)
O: 0.1270 0.6270 0.3753 (multiplicity 8)
O: 0.2143 0.2857 0.5000 (multiplicity 4)

For Pr8C3Br3O, a GGA-PBE-relaxed structure gives the theoretical powder diffractogram in this record (Cu Ka).

Largest 8 diffraction maxima, low angle first, 10 to 80 degrees two-theta:
(hkl), 2θ (°), I/Imax
2 2 0, 28.14, 51
4 0 0, 31.52, 100
4 0 -3, 33.86, 39
0 0 3, 36.70, 21
2 2 -3, 39.50, 16
2 2 2, 42.70, 20
0 4 0, 47.57, 39
4 0 3, 61.48, 34

Crystal structure
Unit cell a=13.2610 b=7.6373 c=8.5763 alpha=90.00 beta=121.07 gamma=90.00
Space group C2/m (No. 12)
Symmetry-distinct sites (fractional):
Pr: 0.0218 0.2462 0.3119 (multiplicity 8)
Pr: 0.2297 0.0000 0.6886 (multiplicity 4)
Pr: 0.2317 0.5000 0.6880 (multiplicity 4)
C: 0.0000 0.0000 0.5000 (multiplicity 2)
C: 0.2500 0.2500 0.5000 (multiplicity 4)
Br: 0.0000 0.5000 0.0000 (multiplicity 2)
Br: 0.2500 0.2500 0.0000 (multiplicity 4)
O: 0.0000 0.5000 0.5000 (multiplicity 2)

For RuC3Br2O3, a GGA-PBE-relaxed structure gives the theoretical powder diffractogram in this record (Cu Ka).

Largest 8 diffraction maxima, low angle first, 10 to 80 degrees two-theta:
(hkl), 2θ (°), I/Imax
1 1 0, 13.91, 100
2 0 0, 16.45, 35
2 0 -3, 28.05, 20
0 2 2, 29.30, 54
4 0 -1, 31.88, 27
0 2 3, 36.14, 24
4 2 1, 43.85, 29
4 2 -4, 48.89, 17

Crystal structure
Unit cell a=11.2299 b=7.8925 c=10.0101 alpha=90.00 beta=106.45 gamma=90.00
Space group C2/m (No. 12)
Symmetry-distinct sites (fractional):
Ru: 0.0599 0.0000 0.2010 (multiplicity 4)
C: 0.0906 0.1729 0.3370 (multiplicity 8)
C: 0.2271 0.0000 0.1890 (multiplicity 4)
Br: 0.0000 0.2240 0.0000 (multiplicity 4)
Br: 0.1634 0.0000 0.7798 (multiplicity 4)
O: 0.1076 0.2796 0.4191 (multiplicity 8)
O: 0.1704 0.5000 0.8112 (multiplicity 4)

For Pa6CBr15, a GGA-PBE-relaxed structure gives the theoretical powder diffractogram in this record (Cu Ka).

Largest 8 diffraction maxima, low angle first, 10 to 80 degrees two-theta:
(hkl), 2θ (°), I/Imax
1 1 0, 11.17, 96
2 1 1, 19.41, 24
3 2 1, 29.84, 64
4 0 0, 31.96, 100
3 3 2, 37.66, 38
4 4 0, 45.82, 68
7 3 2, 65.63, 24
8 4 0, 75.98, 24

Crystal structure
Unit cell a=11.2017 b=11.2017 c=11.2017 alpha=90.00 beta=90.00 gamma=90.00
Space group Im-3m (No. 229)
Symmetry-distinct sites (fractional):
Pa: 0.0000 0.0000 0.2235 (multiplicity 12)
C: 0.0000 0.0000 0.0000 (multiplicity 2)
Br: 0.0000 0.0000 0.5000 (multiplicity 6)
Br: 0.0000 0.2527 0.2527 (multiplicity 24)

For Pm2ScC2Br2, a GGA-PBE-relaxed structure gives the theoretical powder diffractogram in this record (Cu Ka).

Largest 8 diffraction maxima, low angle first, 10 to 80 degrees two-theta:
(hkl), 2θ (°), I/Imax
1 0 1, 21.36, 23
1 1 0, 29.34, 79
1 0 5, 34.76, 100
1 1 4, 37.00, 18
2 0 0, 41.97, 35
2 1 5, 55.59, 59
3 0 5, 72.02, 19
2 0 10, 73.38, 14

Crystal structure
Unit cell a=4.3057 b=4.3057 c=16.1205 alpha=90.00 beta=90.00 gamma=90.00
Space group I4/mmm (No. 139)
Symmetry-distinct sites (fractional):
Pm: 0.0000 0.0000 0.0982 (multiplicity 4)
Sc: 0.0000 0.0000 0.5000 (multiplicity 2)
C: 0.0000 0.5000 0.0000 (multiplicity 4)
Br: 0.0000 0.0000 0.3164 (multiplicity 4)